For NdWF6, a structure optimized by DFT (GGA+U) gives the simulated powder X-ray diffraction pattern in this record (Cu Kα (λ = 1.5418 Å)).
Intensities are scaled so that the largest is 100.

Most intense lines, 2θ = 5–70°, by angle:
| 2θ/deg | I_rel |
| --- | --- |
| 20.21 | 100 |
| 28.58 | 26 |
| 28.87 | 25 |
| 35.50 | 8 |
| 41.08 | 23 |
| 45.99 | 23 |
| 46.38 | 22 |
| 50.98 | 11 |
| 63.50 | 8 |
| 63.82 | 8 |

Atomic structure:
```
NdWF6
1.0
3.092 1.785 5.126
-3.092 1.785 5.126
0.000 -3.571 5.126
Nd W F
1 1 6
Direct
0.000 0.000 0.000
0.500 0.500 0.500
0.243 0.277 0.740
0.260 0.757 0.723
0.277 0.740 0.243
0.723 0.260 0.757
0.740 0.243 0.277
0.757 0.723 0.260
```